Theoretical powder X-ray diffraction pattern
Compound: CrHSe3O8
Radiation: CuKα
Structure: a DFT-relaxed cell (PBE+U, Alexandria)

Atomic structure:
Lattice parameters (Å, degrees): 9.192 11.635 7.634 90.00 90.00 90.00
Fractional coordinates of all 52 atoms:
Cr (0.000, 0.000, 0.000)
Cr (0.000, 0.500, 0.000)
Cr (0.500, 0.000, 0.500)
Cr (0.500, 0.500, 0.500)
H (0.104, 0.250, 0.455)
H (0.396, 0.750, 0.955)
H (0.604, 0.250, 0.045)
H (0.896, 0.750, 0.545)
Se (0.023, 0.750, 0.813)
Se (0.228, 0.609, 0.289)
Se (0.228, 0.891, 0.289)
Se (0.272, 0.109, 0.789)
Se (0.272, 0.391, 0.789)
Se (0.477, 0.250, 0.313)
Se (0.523, 0.750, 0.687)
Se (0.728, 0.609, 0.211)
Se (0.728, 0.891, 0.211)
Se (0.772, 0.109, 0.711)
Se (0.772, 0.391, 0.711)
Se (0.977, 0.250, 0.187)
O (0.001, 0.250, 0.421)
O (0.087, 0.137, 0.127)
O (0.087, 0.363, 0.127)
O (0.113, 0.035, 0.779)
O (0.113, 0.465, 0.779)
O (0.170, 0.596, 0.078)
O (0.170, 0.904, 0.078)
O (0.183, 0.250, 0.760)
O (0.317, 0.750, 0.260)
O (0.330, 0.096, 0.578)
O (0.330, 0.404, 0.578)
O (0.387, 0.535, 0.279)
O (0.387, 0.965, 0.279)
O (0.413, 0.637, 0.627)
O (0.413, 0.863, 0.627)
O (0.499, 0.750, 0.921)
O (0.501, 0.250, 0.079)
O (0.587, 0.137, 0.373)
O (0.587, 0.363, 0.373)
O (0.613, 0.035, 0.721)
O (0.613, 0.465, 0.721)
O (0.670, 0.596, 0.422)
O (0.670, 0.904, 0.422)
O (0.683, 0.250, 0.740)
O (0.817, 0.750, 0.240)
O (0.830, 0.096, 0.922)
O (0.830, 0.404, 0.922)
O (0.887, 0.535, 0.221)
O (0.887, 0.965, 0.221)
O (0.913, 0.637, 0.873)
O (0.913, 0.863, 0.873)
O (0.999, 0.750, 0.579)

Principal peaks in the range 2θ = 15–90°, in order of rising 2θ:
- 2θ 15.09, I 42.5, hkl 1 0 1
- 2θ 23.30, I 17.7, hkl 0 0 2
- 2θ 23.86, I 100.0, hkl 2 1 1
- 2θ 25.77, I 53.5, hkl 0 3 1
- 2θ 30.44, I 13.6, hkl 2 0 2
- 2θ 34.21, I 11.2, hkl 2 2 2
- 2θ 36.56, I 32.8, hkl 2 4 0
- 2θ 38.48, I 11.3, hkl 2 4 1
- 2θ 47.51, I 11.3, hkl 4 3 1
- 2θ 60.46, I 11.3, hkl 2 7 1